The following is a calculated powder XRD pattern of Tm6PuO12. It was derived from the PBE geometry in Alexandria, using λ = 1.5418 Å (Cu Kα).

Principal peaks in the range 2θ from 15° to 90°, by intensity:
hkl 2 1 1, 29.38°, I = 1000
hkl 3 -2 2, 33.90°, I = 461
hkl 0 0 3, 28.84°, I = 294
hkl 1 4 0, 49.04°, I = 281
hkl 2 1 4, 48.34°, I = 246
hkl 1 4 3, 57.89°, I = 233
hkl 6 -4 1, 58.20°, I = 137
hkl 3 -2 5, 57.27°, I = 100
hkl 4 2 2, 60.95°, I = 100
hkl 3 5 1, 79.49°, I = 87

Atomic structure:
```
data_Tm6PuO12
_cell_length_a 9.8295
_cell_length_b 9.8295
_cell_length_c 9.2873
_cell_angle_alpha 90.00
_cell_angle_beta 90.00
_cell_angle_gamma 120.00
_symmetry_space_group_name_H-M 'R -3'
_symmetry_Int_Tables_number 148
_symmetry_space_group_name_Hall '-R 3'
loop_
_atom_site_label
_atom_site_fract_x
_atom_site_fract_y
_atom_site_fract_z
Tm1 0.0366 0.2507 0.1404
Pu1 0.0000 0.0000 0.5000
O1 0.0296 0.2198 0.8976
O2 0.0342 0.1961 0.3851
```